Theoretical powder diffraction line list
Compound: Sm5Dy3In2
Radiation: Cu Kα X-rays
Structure: a structure optimized by DFT (PBE)
Intensities are scaled so that the largest is 1000.

Structural model:
```
data_Sm5Dy3In2
_chemical_formula_sum 'Sm20 Dy12 In8'
_cell_length_a 13.014
_cell_length_b 15.572
_cell_length_c 6.450
_cell_angle_alpha 90.00
_cell_angle_beta 90.00
_cell_angle_gamma 90.00
_symmetry_space_group_name_H-M 'I b a m'
_symmetry_Int_Tables_number 72
_symmetry_space_group_name_Hall '-I 2 2c'
loop_
_atom_site_label
_atom_site_type_symbol
_atom_site_fract_x
_atom_site_fract_y
_atom_site_fract_z
Sm1 Sm 0.000 0.000 0.250
Sm2 Sm 0.129 0.164 0.000
Sm3 Sm 0.249 0.500 0.250
Dy1 Dy 0.000 0.500 0.250
Dy2 Dy 0.107 0.269 0.500
In1 In 0.129 0.355 0.000
```

Most intense lines, 10 to 90 degrees two-theta, by angle:
| d_spacing | 2theta | intensity | (hkl) |
| --- | --- | --- | --- |
| 3.893 | 22.84 | 213 | 0 4 0 |
| 3.435 | 25.94 | 368 | 2 3 1 |
| 3.002 | 29.76 | 962 | 4 2 0 |
| 2.980 | 29.99 | 1000 | 0 2 2 |
| 2.595 | 34.56 | 188 | 0 6 0 |
| 2.576 | 34.83 | 616 | 2 5 1 |
| 2.497 | 35.97 | 258 | 4 4 0 |
| 2.484 | 36.17 | 236 | 0 4 2 |
| 2.290 | 39.34 | 784 | 4 0 2 |
| 1.717 | 53.37 | 407 | 4 6 2 |
| 1.707 | 53.68 | 178 | 2 5 3 |
| 1.421 | 65.73 | 201 | 4 2 4 |


Theoretical powder diffraction line list
Compound: NdPd2O4
Radiation: Cu Kα X-rays
Structure: a structure optimized by DFT (PBE)
Intensities are scaled so that the largest is 1000.

Structural model:
```
data_NdPd2O4
_chemical_formula_sum 'Nd4 Pd8 O16'
_cell_length_a 5.940
_cell_length_b 5.940
_cell_length_c 10.274
_cell_angle_alpha 90.00
_cell_angle_beta 90.00
_cell_angle_gamma 90.00
_symmetry_space_group_name_H-M 'I 41/a'
_symmetry_Int_Tables_number 88
loop_
_symmetry_equiv_pos_as_xyz
'x,y,z'
'-x,-y,-z'
'-y+3/4,x+1/4,z+1/4'
'y+3/4,-x+1/4,-z+1/4'
'-x+1/2,-y,z+1/2'
'x+1/2,y,-z+1/2'
'y+3/4,-x+3/4,z+3/4'
'-y+3/4,x+3/4,-z+3/4'
'x+1/2,y+1/2,z+1/2'
'-x+1/2,-y+1/2,-z+1/2'
'-y+1/4,x+3/4,z+3/4'
'y+1/4,-x+3/4,-z+3/4'
'-x,-y+1/2,z'
'x,y+1/2,-z'
'y+1/4,-x+1/4,z+1/4'
'-y+1/4,x+1/4,-z+1/4'
loop_
_atom_site_label
_atom_site_type_symbol
_atom_site_fract_x
_atom_site_fract_y
_atom_site_fract_z
Nd1 Nd 0.000 0.250 0.125
Pd1 Pd 0.000 0.000 0.500
O1 O 0.152 0.051 0.324
```

Most intense lines, 10 to 90 degrees two-theta, by angle:
| d_spacing | 2theta | intensity | (hkl) |
| --- | --- | --- | --- |
| 3.252 | 27.43 | 245 | 1 1 2 |
| 2.967 | 30.12 | 442 | 1 0 3 |
| 2.572 | 34.89 | 1000 | 2 1 1 |
| 1.942 | 46.77 | 226 | 1 0 5 |
| 1.764 | 51.83 | 125 | 1 3 2 |
| 1.714 | 53.46 | 123 | 3 0 3 |
| 1.626 | 56.60 | 392 | 2 2 4 |
| 1.484 | 62.58 | 148 | 4 0 0 |
| 1.328 | 70.98 | 101 | 1 4 3 |
| 1.285 | 73.71 | 161 | 2 4 2 |
| 1.180 | 81.61 | 82 | 4 1 5 |
| 1.096 | 89.37 | 84 | 2 3 7 |


Theoretical powder diffraction line list
Compound: PrZr2Se4
Radiation: Cu Kα X-rays
Structure: a structure optimized by DFT (PBE)
Intensities are scaled so that the largest is 1000.

Structural model:
```
data_PrZr2Se4
_chemical_formula_sum 'Pr4 Zr8 Se16'
_cell_length_a 3.871
_cell_length_b 12.630
_cell_length_c 13.894
_cell_angle_alpha 90.00
_cell_angle_beta 90.00
_cell_angle_gamma 90.00
_symmetry_space_group_name_H-M 'C m c m'
_symmetry_Int_Tables_number 63
_symmetry_space_group_name_Hall '-C 2c 2'
loop_
_atom_site_label
_atom_site_type_symbol
_atom_site_fract_x
_atom_site_fract_y
_atom_site_fract_z
Pr1 Pr 0.000 0.106 0.250
Zr1 Zr 0.000 0.352 0.059
Se1 Se 0.000 0.000 0.000
Se2 Se 0.000 0.282 0.624
Se3 Se 0.000 0.432 0.250
```

Most intense lines, 10 to 90 degrees two-theta, by angle:
| d_spacing | 2theta | intensity | (hkl) |
| --- | --- | --- | --- |
| 3.735 | 23.83 | 385 | 0 2 3 |
| 3.043 | 29.35 | 579 | 0 2 4 |
| 2.850 | 31.39 | 356 | 1 3 0 |
| 2.792 | 32.06 | 1000 | 1 3 1 |
| 2.636 | 34.00 | 693 | 1 3 2 |
| 2.222 | 40.60 | 685 | 1 1 5 |
| 2.015 | 45.00 | 221 | 0 6 2 |
| 1.936 | 46.94 | 342 | 2 0 0 |
| 1.924 | 47.23 | 235 | 1 5 3 |
| 1.916 | 47.44 | 211 | 0 6 3 |
| 1.633 | 56.32 | 193 | 2 2 4 |
| 1.233 | 77.37 | 168 | 1 9 4 |


Theoretical powder diffraction line list
Compound: CeSiTcOs
Radiation: Cu Kα X-rays
Structure: a structure optimized by DFT (PBE)
Intensities are scaled so that the largest is 1000.

Structural model:
```
data_CeSiTcOs
_chemical_formula_sum 'Ce2 Si2 Tc2 Os2'
_cell_length_a 4.537
_cell_length_b 3.162
_cell_length_c 9.678
_cell_angle_alpha 90.00
_cell_angle_beta 90.00
_cell_angle_gamma 90.00
_symmetry_space_group_name_H-M 'A m m 2'
_symmetry_Int_Tables_number 38
_symmetry_space_group_name_Hall 'A 2 -2'
loop_
_atom_site_label
_atom_site_type_symbol
_atom_site_fract_x
_atom_site_fract_y
_atom_site_fract_z
Ce1 Ce 0.000 0.000 0.000
Si1 Si 0.500 0.000 0.383
Tc1 Tc 0.500 0.000 0.683
Os1 Os 0.000 0.000 0.258
```

Most intense lines, 10 to 90 degrees two-theta, by angle:
| d_spacing | 2theta | intensity | (hkl) |
| --- | --- | --- | --- |
| 4.839 | 18.33 | 162 | 0 0 2 |
| 4.537 | 19.57 | 402 | 1 0 0 |
| 3.006 | 29.72 | 136 | 0 1 1 |
| 2.506 | 35.84 | 1000 | 1 1 1 |
| 2.420 | 37.16 | 184 | 0 0 4 |
| 2.268 | 39.74 | 373 | 2 0 0 |
| 2.258 | 39.92 | 338 | 0 1 3 |
| 2.135 | 42.34 | 456 | 1 0 4 |
| 2.022 | 44.83 | 305 | 1 1 3 |
| 1.600 | 57.59 | 231 | 2 1 3 |
| 1.351 | 69.59 | 143 | 3 1 1 |
| 1.271 | 74.71 | 171 | 1 2 4 |


Theoretical powder diffraction line list
Compound: Y12Si5S28
Radiation: Cu Kα X-rays
Structure: a structure optimized by DFT (PBE)
Intensities are scaled so that the largest is 1000.

Structural model:
```
data_Y12Si5S28
_chemical_formula_sum 'Y12 Si5 S28'
_cell_length_a 9.812
_cell_length_b 11.368
_cell_length_c 11.383
_cell_angle_alpha 60.86
_cell_angle_beta 64.50
_cell_angle_gamma 64.45
_symmetry_space_group_name_H-M 'P 1'
_symmetry_Int_Tables_number 1
_symmetry_space_group_name_Hall 'P 1'
loop_
_atom_site_label
_atom_site_type_symbol
_atom_site_fract_x
_atom_site_fract_y
_atom_site_fract_z
Y1 Y 0.000 0.000 0.000
Y2 Y 0.001 0.519 0.462
Y3 Y 0.092 0.235 0.175
Y4 Y 0.102 0.696 0.700
Y5 Y 0.214 0.576 0.061
Y6 Y 0.236 0.085 0.538
Y7 Y 0.506 0.952 0.949
Y8 Y 0.519 0.473 0.417
Y9 Y 0.646 0.341 0.789
Y10 Y 0.649 0.809 0.302
Y11 Y 0.731 0.042 0.497
Y12 Y 0.741 0.531 0.014
Si1 Si 0.203 0.857 0.248
Si2 Si 0.205 0.348 0.738
Si3 Si 0.536 0.775 0.659
Si4 Si 0.538 0.273 0.154
Si5 Si 0.872 0.990 0.774
S1 S 0.007 0.986 0.552
S2 S 0.037 0.504 0.992
S3 S 0.107 0.837 0.840
S4 S 0.125 0.331 0.333
S5 S 0.202 0.672 0.430
S6 S 0.205 0.166 0.924
S7 S 0.283 0.814 0.061
S8 S 0.292 0.312 0.547
S9 S 0.341 0.979 0.218
S10 S 0.359 0.459 0.701
S11 S 0.390 0.804 0.545
S12 S 0.397 0.306 0.034
S13 S 0.450 0.461 0.196
S14 S 0.450 0.965 0.697
S15 S 0.531 0.597 0.847
S16 S 0.543 0.084 0.333
S17 S 0.607 0.684 0.178
S18 S 0.646 0.146 0.707
S19 S 0.710 0.509 0.511
S20 S 0.721 0.000 0.001
S21 S 0.764 0.778 0.514
S22 S 0.767 0.276 0.008
S23 S 0.774 0.301 0.304
S24 S 0.782 0.806 0.808
S25 S 0.960 0.170 0.730
S26 S 0.964 0.718 0.213
S27 S 0.974 0.491 0.733
S28 S 0.977 0.008 0.248
```

Most intense lines, 10 to 90 degrees two-theta, by angle:
| d_spacing | 2theta | intensity | (hkl) |
| --- | --- | --- | --- |
| 4.768 | 18.61 | 292 | 1 0 2 |
| 4.248 | 20.91 | 414 | 2 2 2 |
| 3.736 | 23.82 | 287 | 1 -2 0 |
| 3.419 | 26.06 | 1000 | 2 1 3 |
| 2.805 | 31.90 | 313 | 2 -2 0 |
| 2.542 | 35.31 | 330 | 3 4 2 |
| 2.453 | 36.64 | 508 | 2 4 4 |
| 2.386 | 37.71 | 245 | 0 0 4 |
| 2.383 | 37.75 | 254 | 2 4 0 |
| 2.357 | 38.19 | 490 | -3 1 1 |
| 2.181 | 41.40 | 488 | 4 0 2 |
| 2.143 | 42.16 | 239 | 1 5 1 |


Theoretical powder diffraction line list
Compound: LaPrNi2Ge
Radiation: Cu Kα X-rays
Structure: a structure optimized by DFT (PBE)
Intensities are scaled so that the largest is 1000.

Structural model:
```
data_LaPrNi2Ge
_chemical_formula_sum 'La2 Pr2 Ni4 Ge2'
_cell_length_a 3.943
_cell_length_b 4.355
_cell_length_c 12.693
_cell_angle_alpha 90.00
_cell_angle_beta 90.00
_cell_angle_gamma 90.00
_symmetry_space_group_name_H-M 'I m m 2'
_symmetry_Int_Tables_number 44
_symmetry_space_group_name_Hall 'I 2 -2'
loop_
_atom_site_label
_atom_site_type_symbol
_atom_site_fract_x
_atom_site_fract_y
_atom_site_fract_z
La1 La 0.000 0.000 0.000
Pr1 Pr 0.000 0.500 0.765
Ni1 Ni 0.000 0.000 0.420
Ni2 Ni 0.000 0.500 0.232
Ge1 Ge 0.000 0.000 0.606
```

Most intense lines, 10 to 90 degrees two-theta, by angle:
| d_spacing | 2theta | intensity | (hkl) |
| --- | --- | --- | --- |
| 3.173 | 28.12 | 140 | 0 0 4 |
| 3.035 | 29.43 | 264 | 0 1 3 |
| 2.655 | 33.76 | 1000 | 1 1 2 |
| 2.177 | 41.47 | 214 | 0 2 0 |
| 2.134 | 42.35 | 227 | 1 0 5 |
| 1.971 | 46.04 | 157 | 2 0 0 |
| 1.674 | 54.84 | 132 | 0 1 7 |
| 1.653 | 55.59 | 88 | 2 1 3 |
| 1.524 | 60.77 | 152 | 1 2 5 |
| 1.461 | 63.68 | 116 | 2 2 0 |
| 1.332 | 70.74 | 112 | 1 3 2 |
| 1.234 | 77.32 | 87 | 3 1 2 |


Theoretical powder diffraction line list
Compound: IrOs3W
Radiation: Cu Kα X-rays
Structure: a structure optimized by DFT (PBE)
Intensities are scaled so that the largest is 1000.

Structural model:
```
data_IrOs3W
_chemical_formula_sum 'Ir3 Os9 W3'
_cell_length_a 5.2508
_cell_length_b 5.2508
_cell_length_c 12.7928
_cell_angle_alpha 90.00
_cell_angle_beta 90.00
_cell_angle_gamma 120.00
_symmetry_space_group_name_H-M 'R -3 m'
_symmetry_Int_Tables_number 166
_symmetry_space_group_name_Hall '-R 3 2"'
loop_
_atom_site_label
_atom_site_type_symbol
_atom_site_fract_x
_atom_site_fract_y
_atom_site_fract_z
Ir1 Ir 0.0000 0.0000 0.0000
Os1 Os 0.0000 0.5000 0.5000
W1 W 0.0000 0.0000 0.5000
```

Most intense lines, 10 to 90 degrees two-theta, by angle:
| d_spacing | 2theta | intensity | (hkl) |
| --- | --- | --- | --- |
| 4.285 | 20.73 | 269 | 1 0 1 |
| 4.264 | 20.83 | 715 | 0 0 3 |
| 3.706 | 24.01 | 170 | 0 1 2 |
| 2.238 | 40.30 | 499 | 0 2 1 |
| 2.142 | 42.18 | 1000 | 2 0 2 |
| 2.132 | 42.39 | 329 | 0 0 6 |
| 1.853 | 49.17 | 646 | 0 2 4 |
| 1.700 | 53.95 | 173 | 2 0 5 |
| 1.313 | 71.93 | 210 | 2 2 0 |
| 1.308 | 72.23 | 208 | 2 0 8 |
| 1.255 | 75.82 | 144 | 2 2 3 |
| 1.118 | 87.21 | 263 | 2 2 6 |


Theoretical powder diffraction line list
Compound: PrY2TmTh
Radiation: Cu Kα X-rays
Structure: a structure optimized by DFT (PBE)
Intensities are scaled so that the largest is 1000.

Structural model:
```
data_PrY2TmTh
_chemical_formula_sum 'Pr1 Y2 Tm1 Th1'
_cell_length_a 3.550
_cell_length_b 5.653
_cell_length_c 8.748
_cell_angle_alpha 90.00
_cell_angle_beta 90.00
_cell_angle_gamma 90.00
_symmetry_space_group_name_H-M 'P m m m'
_symmetry_Int_Tables_number 47
_symmetry_space_group_name_Hall '-P 2 2'
loop_
_atom_site_label
_atom_site_type_symbol
_atom_site_fract_x
_atom_site_fract_y
_atom_site_fract_z
Pr1 Pr 0.000 0.000 0.000
Y1 Y 0.000 0.500 0.322
Tm1 Tm 0.500 0.000 0.500
Th1 Th 0.500 0.500 0.000
```

Most intense lines, 10 to 90 degrees two-theta, by angle:
| d_spacing | 2theta | intensity | (hkl) |
| --- | --- | --- | --- |
| 4.748 | 18.69 | 129 | 0 1 1 |
| 4.374 | 20.30 | 341 | 0 0 2 |
| 2.843 | 31.47 | 1000 | 1 1 1 |
| 2.826 | 31.66 | 336 | 0 2 0 |
| 2.756 | 32.48 | 161 | 1 0 2 |
| 2.592 | 34.61 | 188 | 0 1 3 |
| 2.478 | 36.26 | 176 | 1 1 2 |
| 2.374 | 37.90 | 144 | 0 2 2 |
| 2.093 | 43.22 | 145 | 1 1 3 |
| 1.973 | 45.99 | 124 | 1 2 2 |
| 1.635 | 56.26 | 195 | 1 3 1 |
| 1.512 | 61.30 | 182 | 1 1 5 |


Theoretical powder diffraction line list
Compound: KSr3Br
Radiation: Cu Kα X-rays
Structure: a structure optimized by DFT (PBE)
Intensities are scaled so that the largest is 1000.

Structural model:
```
data_KSr3Br
_chemical_formula_sum 'K1 Sr3 Br1'
_cell_length_a 6.468
_cell_length_b 6.468
_cell_length_c 6.468
_cell_angle_alpha 90.00
_cell_angle_beta 90.00
_cell_angle_gamma 90.00
_symmetry_space_group_name_H-M 'P m -3 m'
_symmetry_Int_Tables_number 221
_symmetry_space_group_name_Hall '-P 4 2 3'
loop_
_atom_site_label
_atom_site_type_symbol
_atom_site_fract_x
_atom_site_fract_y
_atom_site_fract_z
K1 K 0.000 0.000 0.000
Sr1 Sr 0.000 0.500 0.500
Br1 Br 0.500 0.500 0.500
```

Most intense lines, 10 to 90 degrees two-theta, by angle:
| d_spacing | 2theta | intensity | (hkl) |
| --- | --- | --- | --- |
| 6.468 | 13.69 | 569 | 1 0 0 |
| 3.734 | 23.83 | 639 | 1 1 1 |
| 3.234 | 27.58 | 1000 | 2 0 0 |
| 2.893 | 30.91 | 329 | 2 1 0 |
| 2.287 | 39.40 | 754 | 2 2 0 |
| 2.156 | 41.90 | 180 | 3 0 0 |
| 1.950 | 46.57 | 306 | 3 1 1 |
| 1.867 | 48.77 | 267 | 2 2 2 |
| 1.617 | 56.95 | 125 | 4 0 0 |
| 1.484 | 62.60 | 124 | 3 3 1 |
| 1.446 | 64.42 | 342 | 4 2 0 |
| 1.320 | 71.45 | 252 | 4 2 2 |


Theoretical powder diffraction line list
Compound: Th3GeTe2
Radiation: Cu Kα X-rays
Structure: a structure optimized by DFT (PBE)
Intensities are scaled so that the largest is 1000.

Structural model:
```
data_Th3GeTe2
_chemical_formula_sum 'Th48 Ge16 Te32'
_cell_length_a 8.904
_cell_length_b 12.505
_cell_length_c 26.394
_cell_angle_alpha 90.00
_cell_angle_beta 90.00
_cell_angle_gamma 90.00
_symmetry_space_group_name_H-M 'F d d d'
_symmetry_Int_Tables_number 70
loop_
_symmetry_equiv_pos_as_xyz
'x,y,z'
'-x,-y,-z'
'-x+1/4,-y+1/4,z'
'x+1/4,y+1/4,-z'
'x,-y+1/4,-z+1/4'
'-x,y+1/4,z+1/4'
'-x+1/4,y,-z+1/4'
'x+1/4,-y,z+1/4'
'x,y+1/2,z+1/2'
'-x,-y+1/2,-z+1/2'
'-x+1/4,-y+3/4,z+1/2'
'x+1/4,y+3/4,-z+1/2'
'x,-y+3/4,-z+3/4'
'-x,y+3/4,z+3/4'
'-x+1/4,y+1/2,-z+3/4'
'x+1/4,-y+1/2,z+3/4'
'x+1/2,y,z+1/2'
'-x+1/2,-y,-z+1/2'
'-x+3/4,-y+1/4,z+1/2'
'x+3/4,y+1/4,-z+1/2'
'x+1/2,-y+1/4,-z+3/4'
'-x+1/2,y+1/4,z+3/4'
'-x+3/4,y,-z+3/4'
'x+3/4,-y,z+3/4'
'x+1/2,y+1/2,z'
'-x+1/2,-y+1/2,-z'
'-x+3/4,-y+3/4,z'
'x+3/4,y+3/4,-z'
'x+1/2,-y+3/4,-z+1/4'
'-x+1/2,y+3/4,z+1/4'
'-x+3/4,y+1/2,-z+1/4'
'x+3/4,-y+1/2,z+1/4'
loop_
_atom_site_label
_atom_site_type_symbol
_atom_site_fract_x
_atom_site_fract_y
_atom_site_fract_z
Th1 Th 0.097 0.375 0.375
Th2 Th 0.110 0.363 0.213
Ge1 Ge 0.125 0.125 0.042
Te1 Te 0.125 0.125 0.379
Te2 Te 0.125 0.125 0.545
```

Most intense lines, 10 to 90 degrees two-theta, by angle:
| d_spacing | 2theta | intensity | (hkl) |
| --- | --- | --- | --- |
| 3.627 | 24.55 | 102 | 2 2 0 |
| 3.598 | 24.75 | 112 | 0 2 6 |
| 3.128 | 28.53 | 1000 | 0 4 0 |
| 2.226 | 40.53 | 116 | 4 0 0 |
| 2.212 | 40.80 | 492 | 2 4 6 |
| 2.200 | 41.04 | 126 | 0 0 12 |
| 1.813 | 50.32 | 121 | 4 4 0 |
| 1.799 | 50.75 | 144 | 0 4 12 |
| 1.564 | 59.06 | 124 | 0 8 0 |
| 1.399 | 66.89 | 202 | 2 8 6 |
| 1.282 | 73.91 | 60 | 6 4 6 |
| 1.272 | 74.60 | 75 | 2 4 18 |


Theoretical powder diffraction line list
Compound: Y2TlTeO8
Radiation: Cu Kα X-rays
Structure: a structure optimized by DFT (PBE)
Intensities are scaled so that the largest is 1000.

Structural model:
```
data_Y2TlTeO8
_chemical_formula_sum 'Y4 Tl2 Te2 O16'
_cell_length_a 6.883
_cell_length_b 7.181
_cell_length_c 7.093
_cell_angle_alpha 90.00
_cell_angle_beta 90.00
_cell_angle_gamma 90.00
_symmetry_space_group_name_H-M 'C m m m'
_symmetry_Int_Tables_number 65
_symmetry_space_group_name_Hall '-C 2 2'
loop_
_atom_site_label
_atom_site_type_symbol
_atom_site_fract_x
_atom_site_fract_y
_atom_site_fract_z
Y1 Y 0.000 0.000 0.249
Tl1 Tl 0.000 0.500 0.500
Te1 Te 0.000 0.500 0.000
O1 O 0.000 0.314 0.201
O2 O 0.198 0.000 0.500
O3 O 0.218 0.000 0.000
```

Most intense lines, 10 to 90 degrees two-theta, by angle:
| d_spacing | 2theta | intensity | (hkl) |
| --- | --- | --- | --- |
| 4.969 | 17.85 | 190 | 1 1 0 |
| 3.590 | 24.80 | 569 | 0 2 0 |
| 3.441 | 25.89 | 488 | 2 0 0 |
| 2.887 | 30.98 | 1000 | 1 1 2 |
| 2.523 | 35.58 | 97 | 0 2 2 |
| 2.484 | 36.16 | 247 | 2 2 0 |
| 1.906 | 47.71 | 397 | 1 3 2 |
| 1.861 | 48.96 | 357 | 3 1 2 |
| 1.591 | 57.98 | 196 | 0 2 4 |
| 1.501 | 61.82 | 214 | 3 3 2 |
| 1.443 | 64.57 | 112 | 2 2 4 |
| 1.131 | 85.96 | 95 | 2 6 0 |


Theoretical powder diffraction line list
Compound: Tl2GaAu7
Radiation: Cu Kα X-rays
Structure: a structure optimized by DFT (PBE)
Intensities are scaled so that the largest is 1000.

Structural model:
```
data_Tl2GaAu7
_chemical_formula_sum 'Tl2 Ga1 Au7'
_cell_length_a 3.970
_cell_length_b 3.970
_cell_length_c 13.755
_cell_angle_alpha 90.00
_cell_angle_beta 90.00
_cell_angle_gamma 90.00
_symmetry_space_group_name_H-M 'P -4 m 2'
_symmetry_Int_Tables_number 115
_symmetry_space_group_name_Hall 'P -4 -2'
loop_
_atom_site_label
_atom_site_type_symbol
_atom_site_fract_x
_atom_site_fract_y
_atom_site_fract_z
Tl1 Tl 0.000 0.500 0.249
Ga1 Ga 0.000 0.000 0.500
Au1 Au 0.000 0.000 0.000
Au2 Au 0.000 0.500 0.646
Au3 Au 0.000 0.500 0.848
Au4 Au 0.500 0.500 0.000
Au5 Au 0.500 0.500 0.500
```

Most intense lines, 10 to 90 degrees two-theta, by angle:
| d_spacing | 2theta | intensity | (hkl) |
| --- | --- | --- | --- |
| 3.814 | 23.32 | 112 | 1 0 1 |
| 3.001 | 29.77 | 378 | 1 0 3 |
| 2.599 | 34.51 | 1000 | 1 1 2 |
| 2.261 | 39.87 | 563 | 1 0 5 |
| 2.175 | 41.53 | 298 | 1 1 4 |
| 1.985 | 45.71 | 470 | 2 0 0 |
| 1.719 | 53.28 | 112 | 0 0 8 |
| 1.656 | 55.50 | 136 | 2 1 3 |
| 1.492 | 62.24 | 309 | 2 1 5 |
| 1.404 | 66.63 | 156 | 2 2 0 |
| 1.300 | 72.77 | 140 | 2 0 8 |
| 1.235 | 77.25 | 404 | 1 1 10 |